Structure and simulated PXRD pattern of Ta2NiRu (a GGA-PBE-relaxed structure; λ = 1.5418 Å (Cu Kα)).
Intensities are scaled so that the largest is 100.

Largest 10 diffraction maxima, by angle, 10 to 80 degrees two-theta:
- 2θ 24.91, intensity 20, (0 2 0)
- 2θ 39.08, intensity 100, (0 2 1)
- 2θ 40.48, intensity 91, (2 2 0)
- 2θ 43.63, intensity 37, (2 0 -1)
- 2θ 43.77, intensity 36, (2 0 1)
- 2θ 51.09, intensity 29, (0 4 0)
- 2θ 69.41, intensity 18, (2 4 -1)
- 2θ 69.51, intensity 18, (2 4 1)
- 2θ 76.14, intensity 14, (2 2 -2)
- 2θ 76.33, intensity 14, (2 2 2)

Cell and atoms:
```
data_Ta2NiRu
_chemical_formula_sum 'Ta4 Ni2 Ru2'
_cell_length_a 5.6998
_cell_length_b 7.1489
_cell_length_c 3.0162
_cell_angle_alpha 90.00
_cell_angle_beta 90.17
_cell_angle_gamma 90.00
_symmetry_space_group_name_H-M 'C 1 2/m 1'
_symmetry_Int_Tables_number 12
loop_
_symmetry_equiv_pos_as_xyz
'x,y,z'
'-x,-y,-z'
'-x,y,-z'
'x,-y,z'
'x+1/2,y+1/2,z'
'-x+1/2,-y+1/2,-z'
'-x+1/2,y+1/2,-z'
'x+1/2,-y+1/2,z'
loop_
_atom_site_label
_atom_site_fract_x
_atom_site_fract_y
_atom_site_fract_z
Ta1 0.2500 0.2500 0.0000
Ni1 0.0000 0.0000 0.5000
Ru1 0.0000 0.5000 0.5000
```

---

Structure and simulated PXRD pattern of Th6GeTe3P2 (a GGA-PBE-relaxed structure; λ = 1.5418 Å (Cu Kα)).
Intensities are scaled so that the largest is 100.

Largest 10 diffraction maxima, by angle, 10 to 80 degrees two-theta:
- 2θ 25.39, intensity 19, (3 1 0)
- 2θ 29.11, intensity 100, (1 1 -2)
- 2θ 31.50, intensity 11, (5 1 -1)
- 2θ 40.70, intensity 21, (7 1 -2)
- 2θ 40.98, intensity 10, (2 0 -4)
- 2θ 42.27, intensity 13, (0 2 0)
- 2θ 42.56, intensity 25, (5 1 2)
- 2θ 52.15, intensity 13, (6 2 0)
- 2θ 60.35, intensity 10, (2 2 -4)
- 2θ 69.70, intensity 11, (4 2 4)

Cell and atoms:
```
data_Th6GeTe3P2
_chemical_formula_sum 'Th12 Ge2 Te6 P4'
_cell_length_a 19.2175
_cell_length_b 4.2758
_cell_length_c 8.8266
_cell_angle_alpha 90.00
_cell_angle_beta 106.76
_cell_angle_gamma 90.00
_symmetry_space_group_name_H-M 'C 1 2/m 1'
_symmetry_Int_Tables_number 12
loop_
_symmetry_equiv_pos_as_xyz
'x,y,z'
'-x,-y,-z'
'-x,y,-z'
'x,-y,z'
'x+1/2,y+1/2,z'
'-x+1/2,-y+1/2,-z'
'-x+1/2,y+1/2,-z'
'x+1/2,-y+1/2,z'
loop_
_atom_site_label
_atom_site_fract_x
_atom_site_fract_y
_atom_site_fract_z
Th1 0.0134 0.0000 0.2375
Th2 0.1618 0.5000 0.1146
Th3 0.1756 0.5000 0.5598
Ge1 0.0000 0.5000 0.0000
Te1 0.0000 0.5000 0.5000
Te2 0.1637 0.0000 0.8345
P1 0.1690 0.0000 0.3371
```

---

Structure and simulated PXRD pattern of Pr3BiPd12 (a GGA-PBE-relaxed structure; λ = 1.5418 Å (Cu Kα)).
Intensities are scaled so that the largest is 100.

Largest 10 diffraction maxima, by angle, 10 to 80 degrees two-theta:
- 2θ 21.09, intensity 2, (1 0 0)
- 2θ 30.13, intensity 2, (1 0 4)
- 2θ 37.07, intensity 100, (1 1 4)
- 2θ 42.93, intensity 33, (2 0 0)
- 2θ 43.34, intensity 16, (0 0 8)
- 2θ 62.34, intensity 11, (2 2 0)
- 2θ 62.65, intensity 21, (2 0 8)
- 2θ 74.80, intensity 25, (3 1 4)
- 2θ 75.38, intensity 11, (1 1 12)
- 2θ 78.96, intensity 11, (2 2 8)

Cell and atoms:
```
data_Pr3BiPd12
_chemical_formula_sum 'Pr3 Bi1 Pd12'
_cell_length_a 4.2132
_cell_length_b 4.2132
_cell_length_c 16.7015
_cell_angle_alpha 90.00
_cell_angle_beta 90.00
_cell_angle_gamma 90.00
_symmetry_space_group_name_H-M 'P 4/m m m'
_symmetry_Int_Tables_number 123
_symmetry_space_group_name_Hall '-P 4 2'
loop_
_atom_site_label
_atom_site_fract_x
_atom_site_fract_y
_atom_site_fract_z
Pr1 0.0000 0.0000 0.0000
Pr2 0.0000 0.0000 0.2505
Bi1 0.0000 0.0000 0.5000
Pd1 0.0000 0.5000 0.1267
Pd2 0.0000 0.5000 0.3810
Pd3 0.5000 0.5000 0.0000
Pd4 0.5000 0.5000 0.2570
Pd5 0.5000 0.5000 0.5000
```

---

Structure and simulated PXRD pattern of KSb12Au7 (a GGA-PBE-relaxed structure; λ = 1.5418 Å (Cu Kα)).
Intensities are scaled so that the largest is 100.

Largest 10 diffraction maxima, by angle, 10 to 80 degrees two-theta:
- 2θ 18.68, intensity 100, (-1 1 1)
- 2θ 22.14, intensity 43, (0 2 0)
- 2θ 24.71, intensity 41, (0 2 1)
- 2θ 25.52, intensity 54, (0 0 3)
- 2θ 27.77, intensity 65, (2 0 1)
- 2θ 28.49, intensity 42, (1 1 -3)
- 2θ 29.30, intensity 44, (2 -1 1)
- 2θ 39.86, intensity 62, (1 2 -4)
- 2θ 42.62, intensity 73, (1 3 2)
- 2θ 45.58, intensity 43, (2 -1 4)

Cell and atoms:
```
data_KSb12Au7
_chemical_formula_sum 'K1 Sb12 Au7'
_cell_length_a 7.0156
_cell_length_b 8.0917
_cell_length_c 10.6036
_cell_angle_alpha 96.95
_cell_angle_beta 95.74
_cell_angle_gamma 90.71
_symmetry_space_group_name_H-M 'P -1'
_symmetry_Int_Tables_number 2
loop_
_symmetry_equiv_pos_as_xyz
'x,y,z'
'-x,-y,-z'
loop_
_atom_site_label
_atom_site_fract_x
_atom_site_fract_y
_atom_site_fract_z
K1 0.0000 0.0000 0.0000
Sb1 0.1049 0.6854 0.6597
Sb2 0.1953 0.8786 0.3872
Sb3 0.2229 0.3430 0.5521
Sb4 0.2820 0.5731 0.2355
Sb5 0.4029 0.6634 0.0002
Sb6 0.4689 0.0558 0.2560
Au1 0.0517 0.5577 0.8872
Au2 0.1779 0.0560 0.6789
Au3 0.4943 0.6300 0.6125
Au4 0.5000 0.0000 0.0000
```

---

Structure and simulated PXRD pattern of Rb2AgSn3S8 (a GGA-PBE-relaxed structure; λ = 1.5418 Å (Cu Kα)).
Intensities are scaled so that the largest is 100.

Largest 10 diffraction maxima, by angle, 10 to 80 degrees two-theta:
- 2θ 10.60, intensity 100, (0 0 3)
- 2θ 21.29, intensity 24, (0 0 6)
- 2θ 27.51, intensity 28, (0 2 1)
- 2θ 28.21, intensity 13, (2 0 2)
- 2θ 30.86, intensity 64, (0 2 4)
- 2θ 37.26, intensity 38, (0 2 7)
- 2θ 39.88, intensity 29, (2 0 8)
- 2θ 48.21, intensity 30, (2 2 0)
- 2θ 53.26, intensity 14, (2 2 6)
- 2θ 58.86, intensity 13, (2 0 14)

Cell and atoms:
```
data_Rb2AgSn3S8
_chemical_formula_sum 'Rb6 Ag3 Sn9 S24'
_cell_length_a 7.5505
_cell_length_b 7.5505
_cell_length_c 25.0364
_cell_angle_alpha 90.00
_cell_angle_beta 90.00
_cell_angle_gamma 120.00
_symmetry_space_group_name_H-M 'R 3 m'
_symmetry_Int_Tables_number 160
_symmetry_space_group_name_Hall 'R 3 -2"'
loop_
_atom_site_label
_atom_site_fract_x
_atom_site_fract_y
_atom_site_fract_z
Rb1 0.0000 0.0000 0.0000
Rb2 0.0000 0.0000 0.3508
Ag1 0.0000 0.0000 0.5030
Sn1 0.0048 0.5024 0.4996
S1 0.0000 0.0000 0.2241
S2 0.0000 0.0000 0.7718
S3 0.0116 0.5058 0.7763
S4 0.1723 0.3447 0.5576
```

---

Structure and simulated PXRD pattern of Na2NpCl6 (a GGA-PBE-relaxed structure; λ = 1.5418 Å (Cu Kα)).
Intensities are scaled so that the largest is 100.

Largest 10 diffraction maxima, by angle, 10 to 80 degrees two-theta:
- 2θ 14.22, intensity 32, (0 0 2)
- 2θ 15.30, intensity 100, (1 0 1)
- 2θ 19.19, intensity 58, (1 1 0)
- 2θ 23.97, intensity 30, (1 1 2)
- 2θ 25.41, intensity 29, (1 0 3)
- 2θ 31.42, intensity 30, (2 1 1)
- 2θ 37.61, intensity 51, (2 1 3)
- 2θ 38.95, intensity 18, (2 2 0)
- 2θ 47.08, intensity 24, (3 0 3)
- 2θ 47.99, intensity 22, (1 1 6)

Cell and atoms:
```
data_Na2NpCl6
_chemical_formula_sum 'Na4 Np2 Cl12'
_cell_length_a 6.5398
_cell_length_b 6.5398
_cell_length_c 12.4595
_cell_angle_alpha 90.00
_cell_angle_beta 90.00
_cell_angle_gamma 90.00
_symmetry_space_group_name_H-M 'P 42/m n m'
_symmetry_Int_Tables_number 136
_symmetry_space_group_name_Hall '-P 4n 2n'
loop_
_atom_site_label
_atom_site_fract_x
_atom_site_fract_y
_atom_site_fract_z
Na1 0.0000 0.0000 0.1652
Np1 0.0000 0.0000 0.5000
Cl1 0.1920 0.1920 0.3453
Cl2 0.2159 0.2159 0.0000
```

---

Structure and simulated PXRD pattern of CaNdNi2 (a GGA-PBE-relaxed structure; λ = 1.5418 Å (Cu Kα)).
Intensities are scaled so that the largest is 100.

Largest 10 diffraction maxima, by angle, 10 to 80 degrees two-theta:
- 2θ 16.62, intensity 43, (0 0 2)
- 2θ 32.33, intensity 100, (1 1 1)
- 2θ 33.77, intensity 52, (0 1 3)
- 2θ 40.26, intensity 30, (1 0 4)
- 2θ 40.41, intensity 69, (1 1 3)
- 2θ 43.87, intensity 26, (2 0 0)
- 2θ 45.50, intensity 23, (0 2 0)
- 2θ 56.35, intensity 23, (1 0 6)
- 2θ 56.49, intensity 23, (2 1 3)
- 2θ 75.22, intensity 19, (1 2 6)

Cell and atoms:
```
data_CaNdNi2
_chemical_formula_sum 'Ca2 Nd2 Ni4'
_cell_length_a 4.1271
_cell_length_b 3.9875
_cell_length_c 10.6677
_cell_angle_alpha 90.00
_cell_angle_beta 90.00
_cell_angle_gamma 90.00
_symmetry_space_group_name_H-M 'A m m 2'
_symmetry_Int_Tables_number 38
loop_
_symmetry_equiv_pos_as_xyz
'x,y,z'
'-x,-y,z'
'-x,y,z'
'x,-y,z'
'x,y+1/2,z+1/2'
'-x,-y+1/2,z+1/2'
'-x,y+1/2,z+1/2'
'x,-y+1/2,z+1/2'
loop_
_atom_site_label
_atom_site_fract_x
_atom_site_fract_y
_atom_site_fract_z
Ca1 0.0000 0.0000 0.0000
Nd1 0.5000 0.0000 0.7190
Ni1 0.0000 0.0000 0.2933
Ni2 0.5000 0.0000 0.4161
```

---

Structure and simulated PXRD pattern of TiFe3Rh4 (a GGA-PBE-relaxed structure; λ = 1.5418 Å (Cu Kα)).
Intensities are scaled so that the largest is 100.

Largest 10 diffraction maxima, by angle, 10 to 80 degrees two-theta:
- 2θ 29.32, intensity 13, (2 0 1)
- 2θ 29.88, intensity 6, (0 2 0)
- 2θ 41.94, intensity 51, (4 0 0)
- 2θ 42.35, intensity 100, (2 2 1)
- 2θ 52.34, intensity 5, (4 2 0)
- 2θ 60.81, intensity 16, (4 0 2)
- 2θ 62.07, intensity 8, (0 4 0)
- 2θ 68.92, intensity 2, (6 0 1)
- 2θ 76.89, intensity 32, (6 2 1)
- 2θ 77.74, intensity 15, (4 4 0)

Cell and atoms:
```
data_TiFe3Rh4
_chemical_formula_sum 'Ti2 Fe6 Rh8'
_cell_length_a 8.6141
_cell_length_b 5.9814
_cell_length_c 4.3097
_cell_angle_alpha 90.00
_cell_angle_beta 90.00
_cell_angle_gamma 90.00
_symmetry_space_group_name_H-M 'P m m a'
_symmetry_Int_Tables_number 51
loop_
_symmetry_equiv_pos_as_xyz
'x,y,z'
'-x,-y,-z'
'-x+1/2,-y,z'
'x+1/2,y,-z'
'x+1/2,-y,-z'
'-x+1/2,y,z'
'-x,y,-z'
'x,-y,z'
loop_
_atom_site_label
_atom_site_fract_x
_atom_site_fract_y
_atom_site_fract_z
Ti1 0.0000 0.0000 0.0000
Fe1 0.0000 0.5000 0.0000
Fe2 0.2500 0.0000 0.4919
Fe3 0.2500 0.5000 0.4904
Rh1 0.0000 0.2516 0.5000
Rh2 0.2500 0.2516 0.9914
```